No. 1
This entry pairs a crystal structure of TeS3N2 with its computed powder XRD pattern. Radiation: copper Kα. Structure: a DFT-relaxed cell (PBE, the Materials Project).
Lines closer than 0.1° are merged.

Top 10 peaks for 15 to 90 degrees two-theta, most intense first:
d (Å)	I (rel.)
3.738	100.0
5.140	44.4
5.051	40.3
3.163	40.0
4.598	33.0
5.557	28.5
2.916	23.1
2.682	20.9
2.605	20.7
2.525	19.6

Structural model:
```
data_TeS3N2
_chemical_formula_sum 'Te4 S12 N8'
_space_group_name_H-M_alt 'P n m a'
_space_group_IT_number 62
_space_group_name_Hall '-P 2ac 2n'
_cell_length_a 11.115
_cell_length_b 10.278
_cell_length_c 5.799
_cell_angle_alpha 90.00
_cell_angle_beta 90.00
_cell_angle_gamma 90.00
loop_
_atom_site_label
_atom_site_type_symbol
_atom_site_fract_x
_atom_site_fract_y
_atom_site_fract_z
Te1 Te 0.203 0.250 0.205
S1 S 0.059 0.750 0.243
S2 S 0.156 0.576 0.604
N1 N 0.095 0.615 0.352
```



No. 2
This entry pairs a crystal structure of YTh with its computed powder XRD pattern. Radiation: copper Kα. Structure: a DFT-relaxed cell (PBE, the Materials Project).
Lines closer than 0.1° are merged.

Top 10 peaks for 15 to 90 degrees two-theta, most intense first:
d (Å)	I (rel.)
2.718	100.0
3.056	32.7
2.975	26.7
2.132	24.5
1.664	23.5
1.518	21.7
1.764	17.7
1.480	16.0
1.134	13.9
1.137	8.7

Structural model:
```
data_YTh
_chemical_formula_sum 'Y1 Th1'
_space_group_name_H-M_alt 'P -6 m 2'
_space_group_IT_number 187
_space_group_name_Hall 'P -6 2'
_cell_length_a 3.5287
_cell_length_b 3.5287
_cell_length_c 5.9498
_cell_angle_alpha 90.00
_cell_angle_beta 90.00
_cell_angle_gamma 120.00
loop_
_atom_site_label
_atom_site_type_symbol
_atom_site_fract_x
_atom_site_fract_y
_atom_site_fract_z
Y1 Y 0.0000 0.0000 0.0000
Th1 Th 0.3333 0.6667 0.5000
```



No. 3
This entry pairs a crystal structure of YRu2 with its computed powder XRD pattern. Radiation: copper Kα. Structure: a DFT-relaxed cell (PBE, the Materials Project).
Lines closer than 0.1° are merged.

Top 10 peaks for 15 to 90 degrees two-theta, most intense first:
d (Å)	I (rel.)
2.274	100.0
2.214	94.9
2.502	73.2
1.411	32.2
1.495	30.4
1.319	27.5
2.036	26.1
2.638	23.8
2.242	23.2
1.442	22.9

Structural model:
```
data_YRu2
_chemical_formula_sum 'Y4 Ru8'
_space_group_name_H-M_alt 'P 63/m m c'
_space_group_IT_number 194
_space_group_name_Hall '-P 6c 2c'
_cell_length_a 5.2765
_cell_length_b 5.2765
_cell_length_c 8.9690
_cell_angle_alpha 90.00
_cell_angle_beta 90.00
_cell_angle_gamma 120.00
loop_
_atom_site_label
_atom_site_type_symbol
_atom_site_fract_x
_atom_site_fract_y
_atom_site_fract_z
Y1 Y 0.3333 0.6667 0.0667
Ru1 Ru 0.0000 0.0000 0.0000
Ru2 Ru 0.1702 0.3404 0.7500
```



No. 4
This entry pairs a crystal structure of YAlFe with its computed powder XRD pattern. Radiation: copper Kα. Structure: a DFT-relaxed cell (PBE, the Materials Project).
Lines closer than 0.1° are merged.

Top 10 peaks for 15 to 90 degrees two-theta, most intense first:
d (Å)	I (rel.)
2.288	100.0
2.671	99.3
2.325	67.2
2.262	61.7
2.753	45.7
1.336	44.4
4.342	32.3
2.171	28.7
1.483	23.5
2.251	20.2

Structural model:
```
data_YAlFe
_chemical_formula_sum 'Y4 Al4 Fe4'
_space_group_name_H-M_alt 'I m m a'
_space_group_IT_number 74
_space_group_name_Hall '-I 2b 2'
_cell_length_a 5.345
_cell_length_b 5.505
_cell_length_c 7.445
_cell_angle_alpha 90.00
_cell_angle_beta 90.00
_cell_angle_gamma 90.00
loop_
_atom_site_label
_atom_site_type_symbol
_atom_site_fract_x
_atom_site_fract_y
_atom_site_fract_z
Y1 Y 0.000 0.250 0.115
Al1 Al 0.000 0.000 0.500
Fe1 Fe 0.250 0.250 0.750
```



No. 5
This entry pairs a crystal structure of Li8TiS6 with its computed powder XRD pattern. Radiation: copper Kα. Structure: a DFT-relaxed cell (PBE, the Materials Project).
Lines closer than 0.1° are merged.

Top 10 peaks for 15 to 90 degrees two-theta, most intense first:
d (Å)	I (rel.)
3.340	100.0
4.467	97.0
1.990	84.5
3.366	77.8
3.068	69.7
3.447	51.7
1.713	51.2
2.732	43.3
1.880	36.7
2.122	30.4

Structural model:
```
data_Li8TiS6
_chemical_formula_sum 'Li16 Ti2 S12'
_space_group_name_H-M_alt 'P 63 c m'
_space_group_IT_number 185
_space_group_name_Hall 'P 6c -2'
_cell_length_a 6.8950
_cell_length_b 6.8950
_cell_length_c 13.4621
_cell_angle_alpha 90.00
_cell_angle_beta 90.00
_cell_angle_gamma 120.00
loop_
_atom_site_label
_atom_site_type_symbol
_atom_site_fract_x
_atom_site_fract_y
_atom_site_fract_z
Li1 Li 0.0000 0.3169 0.0000
Li2 Li 0.0000 0.3803 0.3646
Li3 Li 0.3333 0.6667 0.1354
Ti1 Ti 0.0000 0.0000 0.2319
S1 S 0.0000 0.0000 0.4033
S2 S 0.0000 0.3144 0.1840
S3 S 0.3333 0.6667 0.4512
```



No. 6
This entry pairs a crystal structure of MgZr3U7O20 with its computed powder XRD pattern. Radiation: copper Kα. Structure: a DFT-relaxed cell (PBE, the Materials Project).
Lines closer than 0.1° are merged.

Top 10 peaks for 15 to 90 degrees two-theta, most intense first:
d (Å)	I (rel.)
3.200	100.0
3.316	88.6
2.989	80.7
3.051	58.4
1.903	55.1
2.736	52.9
3.249	52.7
2.667	44.1
2.628	42.7
3.176	41.4

Structural model:
```
data_MgZr3U7O20
_chemical_formula_sum 'Mg1 Zr3 U7 O20'
_space_group_name_H-M_alt 'P 1'
_space_group_IT_number 1
_space_group_name_Hall 'P 1'
_cell_length_a 3.805
_cell_length_b 6.701
_cell_length_c 16.782
_cell_angle_alpha 81.24
_cell_angle_beta 88.03
_cell_angle_gamma 88.48
loop_
_atom_site_label
_atom_site_type_symbol
_atom_site_fract_x
_atom_site_fract_y
_atom_site_fract_z
Mg1 Mg 0.000 0.000 0.000
Zr1 Zr 0.075 0.369 0.868
Zr2 Zr 0.650 0.303 0.498
Zr3 Zr 0.658 0.733 0.136
U1 U 0.092 0.067 0.680
U2 U 0.128 0.799 0.500
U3 U 0.158 0.535 0.316
U4 U 0.222 0.291 0.117
U5 U 0.535 0.815 0.876
U6 U 0.595 0.558 0.684
U7 U 0.665 0.037 0.317
O1 O 0.033 0.651 0.910
O2 O 0.090 0.366 0.736
O3 O 0.099 0.746 0.641
O4 O 0.116 0.118 0.544
O5 O 0.137 0.468 0.456
O6 O 0.154 0.848 0.362
O7 O 0.169 0.616 0.169
O8 O 0.183 0.211 0.256
O9 O 0.215 0.269 0.987
O10 O 0.509 0.857 0.011
O11 O 0.569 0.481 0.831
O12 O 0.578 0.893 0.741
O13 O 0.598 0.253 0.632
O14 O 0.624 0.609 0.543
O15 O 0.634 0.996 0.454
O16 O 0.657 0.730 0.264
O17 O 0.660 0.352 0.360
O18 O 0.713 0.459 0.091
O19 O 0.857 0.029 0.120
O20 O 0.981 0.053 0.876
```



No. 7
This entry pairs a crystal structure of MgV2S4 with its computed powder XRD pattern. Radiation: copper Kα. Structure: a DFT-relaxed cell (PBE, the Materials Project).
Lines closer than 0.1° are merged.

Top 10 peaks for 15 to 90 degrees two-theta, most intense first:
d (Å)	I (rel.)
2.744	100.0
2.150	95.7
1.782	48.8
1.677	20.6
1.372	20.0
1.146	16.4
3.087	14.5
1.494	12.8
1.497	12.6
1.145	10.9

Structural model:
```
data_MgV2S4
_chemical_formula_sum 'Mg1 V2 S4'
_space_group_name_H-M_alt 'P -3 m 1'
_space_group_IT_number 164
_space_group_name_Hall '-P 3 2"'
_cell_length_a 3.5641
_cell_length_b 3.5641
_cell_length_c 11.9815
_cell_angle_alpha 90.00
_cell_angle_beta 90.00
_cell_angle_gamma 120.00
loop_
_atom_site_label
_atom_site_type_symbol
_atom_site_fract_x
_atom_site_fract_y
_atom_site_fract_z
Mg1 Mg 0.0000 0.0000 0.0000
V1 V 0.0000 0.0000 0.2638
S1 S 0.3333 0.6667 0.3561
S2 S 0.3333 0.6667 0.8697
```



No. 8
This entry pairs a crystal structure of Ce3SiPt5 with its computed powder XRD pattern. Radiation: copper Kα. Structure: a DFT-relaxed cell (PBE, the Materials Project).
Lines closer than 0.1° are merged.

Top 10 peaks for 15 to 90 degrees two-theta, most intense first:
d (Å)	I (rel.)
2.624	100.0
2.454	82.9
2.432	58.8
2.163	33.7
2.041	32.5
2.329	23.0
1.380	21.3
2.643	20.9
1.471	16.7
3.675	13.1

Structural model:
```
data_Ce3SiPt5
_chemical_formula_sum 'Ce12 Si4 Pt20'
_space_group_name_H-M_alt 'I m m a'
_space_group_IT_number 74
_space_group_name_Hall '-I 2b 2'
_cell_length_a 7.350
_cell_length_b 12.975
_cell_length_c 7.499
_cell_angle_alpha 90.00
_cell_angle_beta 90.00
_cell_angle_gamma 90.00
loop_
_atom_site_label
_atom_site_type_symbol
_atom_site_fract_x
_atom_site_fract_y
_atom_site_fract_z
Ce1 Ce 0.000 0.048 0.222
Ce2 Ce 0.000 0.250 0.866
Si1 Si 0.000 0.250 0.466
Pt1 Pt 0.204 0.106 0.563
Pt2 Pt 0.250 0.250 0.250
```



No. 9
This entry pairs a crystal structure of CuGe7N10 with its computed powder XRD pattern. Radiation: copper Kα. Structure: a DFT-relaxed cell (PBE, the Materials Project).
Lines closer than 0.1° are merged.

Top 10 peaks for 15 to 90 degrees two-theta, most intense first:
d (Å)	I (rel.)
4.804	100.0
2.400	66.7
2.529	63.7
2.909	48.7
3.143	46.9
2.424	43.1
3.039	41.0
2.459	36.1
2.589	34.8
3.665	34.0

Structural model:
```
data_CuGe7N10
_chemical_formula_sum 'Cu2 Ge14 N20'
_space_group_name_H-M_alt 'P 1 c 1'
_space_group_IT_number 7
_space_group_name_Hall 'P -2yc'
_cell_length_a 6.999
_cell_length_b 7.378
_cell_length_c 10.263
_cell_angle_alpha 90.00
_cell_angle_beta 102.83
_cell_angle_gamma 90.00
loop_
_atom_site_label
_atom_site_type_symbol
_atom_site_fract_x
_atom_site_fract_y
_atom_site_fract_z
Cu1 Cu 0.000 0.103 0.000
Ge1 Ge 0.168 0.396 0.900
Ge2 Ge 0.355 0.373 0.209
Ge3 Ge 0.392 0.017 0.851
Ge4 Ge 0.539 0.365 0.513
Ge5 Ge 0.600 0.019 0.151
Ge6 Ge 0.708 0.358 0.819
Ge7 Ge 0.897 0.382 0.141
N1 N 0.129 0.426 0.267
N2 N 0.180 0.147 0.876
N3 N 0.344 0.488 0.049
N4 N 0.375 0.127 0.196
N5 N 0.498 0.121 0.501
N6 N 0.554 0.454 0.347
N7 N 0.605 0.132 0.800
N8 N 0.756 0.409 0.651
N9 N 0.820 0.142 0.127
N10 N 0.932 0.378 0.959
```



No. 10
This entry pairs a crystal structure of Y2Co2I with its computed powder XRD pattern. Radiation: copper Kα. Structure: a DFT-relaxed cell (PBE, the Materials Project).
Lines closer than 0.1° are merged.

Top 10 peaks for 15 to 90 degrees two-theta, most intense first:
d (Å)	I (rel.)
2.667	100.0
1.978	55.3
3.358	27.2
2.931	20.7
1.447	20.2
1.588	19.7
1.238	16.7
2.124	12.1
2.183	12.0
1.142	10.1

Structural model:
```
data_Y2Co2I
_chemical_formula_sum 'Y4 Co4 I2'
_space_group_name_H-M_alt 'P 63/m m c'
_space_group_IT_number 194
_space_group_name_Hall '-P 6c 2c'
_cell_length_a 3.9552
_cell_length_b 3.9552
_cell_length_c 16.9952
_cell_angle_alpha 90.00
_cell_angle_beta 90.00
_cell_angle_gamma 120.00
loop_
_atom_site_label
_atom_site_type_symbol
_atom_site_fract_x
_atom_site_fract_y
_atom_site_fract_z
Y1 Y 0.0000 0.0000 0.1035
Co1 Co 0.3333 0.6667 0.0018
I1 I 0.3333 0.6667 0.7500
```



No. 11
This entry pairs a crystal structure of ThBrN with its computed powder XRD pattern. Radiation: copper Kα. Structure: a DFT-relaxed cell (PBE, the Materials Project).
Lines closer than 0.1° are merged.

Top 10 peaks for 15 to 90 degrees two-theta, most intense first:
d (Å)	I (rel.)
2.967	100.0
2.871	45.2
1.676	38.0
2.030	20.2
1.733	18.1
3.679	17.5
2.359	10.2
1.090	10.2
1.293	10.1
1.484	9.3

Structural model:
```
data_ThBrN
_chemical_formula_sum 'Th2 Br2 N2'
_space_group_name_H-M_alt 'P 4/n m m'
_space_group_IT_number 129
_cell_length_a 4.061
_cell_length_b 4.061
_cell_length_c 8.692
_cell_angle_alpha 90.00
_cell_angle_beta 90.00
_cell_angle_gamma 90.00
loop_
_space_group_symop_operation_xyz
'x,y,z'
'-x,-y,-z'
'-y+1/2,x,z'
'y+1/2,-x,-z'
'-x+1/2,-y+1/2,z'
'x+1/2,y+1/2,-z'
'y,-x+1/2,z'
'-y,x+1/2,-z'
'x+1/2,-y,-z'
'-x+1/2,y,z'
'-y,-x,-z'
'y,x,z'
'-x,y+1/2,-z'
'x,-y+1/2,z'
'y+1/2,x+1/2,-z'
'-y+1/2,-x+1/2,z'
loop_
_atom_site_label
_atom_site_type_symbol
_atom_site_fract_x
_atom_site_fract_y
_atom_site_fract_z
Th1 Th 0.250 0.250 0.134
Br1 Br 0.250 0.250 0.666
N1 N 0.250 0.750 0.000
```



No. 12
This entry pairs a crystal structure of V2CN with its computed powder XRD pattern. Radiation: copper Kα. Structure: a DFT-relaxed cell (PBE, the Materials Project).
Lines closer than 0.1° are merged.

Top 10 peaks for 15 to 90 degrees two-theta, most intense first:
d (Å)	I (rel.)
2.395	100.0
2.069	81.0
1.468	44.4
2.084	40.3
1.249	23.2
1.463	22.6
1.197	20.9
1.255	10.8
2.307	2.3
1.540	1.1

Structural model:
```
data_V2CN
_chemical_formula_sum 'V8 C4 N4'
_space_group_name_H-M_alt 'I 41/a m d'
_space_group_IT_number 141
_cell_length_a 4.138
_cell_length_b 4.138
_cell_length_c 8.335
_cell_angle_alpha 90.00
_cell_angle_beta 90.00
_cell_angle_gamma 90.00
loop_
_space_group_symop_operation_xyz
'x,y,z'
'-x,-y,-z'
'-y+1/4,x+3/4,z+1/4'
'y+1/4,-x+3/4,-z+1/4'
'-x+1/2,-y,z+1/2'
'x+1/2,y,-z+1/2'
'y+1/4,-x+1/4,z+3/4'
'-y+1/4,x+1/4,-z+3/4'
'x,-y,-z'
'-x,y,z'
'-y+1/4,-x+1/4,-z+3/4'
'y+1/4,x+1/4,z+3/4'
'-x+1/2,y,-z+1/2'
'x+1/2,-y,z+1/2'
'y+1/4,x+3/4,-z+1/4'
'-y+1/4,-x+3/4,z+1/4'
'x+1/2,y+1/2,z+1/2'
'-x+1/2,-y+1/2,-z+1/2'
'-y+3/4,x+1/4,z+3/4'
'y+3/4,-x+1/4,-z+3/4'
'-x,-y+1/2,z'
'x,y+1/2,-z'
'y+3/4,-x+3/4,z+1/4'
'-y+3/4,x+3/4,-z+1/4'
'x+1/2,-y+1/2,-z+1/2'
'-x+1/2,y+1/2,z+1/2'
'-y+3/4,-x+3/4,-z+1/4'
'y+3/4,x+3/4,z+1/4'
'-x,y+1/2,-z'
'x,-y+1/2,z'
'y+3/4,x+1/4,-z+3/4'
'-y+3/4,-x+1/4,z+3/4'
loop_
_atom_site_label
_atom_site_type_symbol
_atom_site_fract_x
_atom_site_fract_y
_atom_site_fract_z
V1 V 0.000 0.250 0.117
C1 C 0.000 0.250 0.875
N1 N 0.000 0.250 0.375
```